# 1
For Tc2B2Mo, a cell relaxed with PBE gives the simulated powder diffraction line list in this record (Cu Kα, 1.54184 Å).

Top 12 peaks for 2θ = 10–80°, in order of rising 2θ:
2θ (°)  I_rel  h k l
19.6  17  0 0 2
26.6  23  1 0 1
35.2  6  1 1 0
38.9  12  1 0 3
39.9  24  0 0 4
40.6  100  1 1 2
50.6  27  2 0 0
54.2  6  1 1 4
58.0  5  2 1 1
66.3  20  2 0 4
72.9  15  1 1 6
74.3  8  2 2 0

```
data_Tc2B2Mo
_chemical_formula_sum 'Tc4 B4 Mo2'
_cell_length_a 3.609
_cell_length_b 3.609
_cell_length_c 9.044
_cell_angle_alpha 90.00
_cell_angle_beta 90.00
_cell_angle_gamma 90.00
_space_group_name_H-M_alt 'I 4/m m m'
_space_group_IT_number 139
_space_group_name_Hall '-I 4 2'
loop_
_atom_site_label
_atom_site_type_symbol
_atom_site_fract_x
_atom_site_fract_y
_atom_site_fract_z
Tc1 Tc 0.000 0.500 0.250
B1 B 0.000 0.000 0.094
Mo1 Mo 0.000 0.000 0.500
```

***

# 2
For U2B6Mo, a cell relaxed with PBE gives the simulated powder diffraction line list in this record (Cu Kα, 1.54184 Å).

Top 12 peaks for 2θ = 10–80°, in order of rising 2θ:
2θ (°)  I_rel  h k l
24.1  100  0 0 1
30.0  52  3 1 0
30.5  48  2 3 0
31.6  27  0 4 0
33.1  24  1 4 0
38.9  65  3 1 1
39.3  54  2 3 1
40.1  33  0 4 1
41.3  31  1 4 1
49.4  21  0 0 2
58.9  17  3 1 2
66.2  17  2 7 1

```
data_U2B6Mo
_chemical_formula_sum 'U8 B24 Mo4'
_cell_length_a 9.251
_cell_length_b 11.340
_cell_length_c 3.692
_cell_angle_alpha 90.00
_cell_angle_beta 90.00
_cell_angle_gamma 90.00
_space_group_name_H-M_alt 'P b a m'
_space_group_IT_number 55
loop_
_space_group_symop_operation_xyz
'x,y,z'
'-x,-y,-z'
'-x,-y,z'
'x,y,-z'
'x+1/2,-y+1/2,-z'
'-x+1/2,y+1/2,z'
'-x+1/2,y+1/2,-z'
'x+1/2,-y+1/2,z'
loop_
_atom_site_label
_atom_site_type_symbol
_atom_site_fract_x
_atom_site_fract_y
_atom_site_fract_z
U1 U 0.044 0.106 0.000
U2 U 0.165 0.408 0.000
B1 B 0.015 0.282 0.500
B2 B 0.050 0.567 0.500
B3 B 0.142 0.961 0.500
B4 B 0.144 0.813 0.500
B5 B 0.196 0.228 0.500
B6 B 0.244 0.576 0.500
Mo1 Mo 0.145 0.680 0.000
```

***

# 3
For B4Mo3W, a cell relaxed with PBE gives the simulated powder diffraction line list in this record (Cu Kα, 1.54184 Å).

Top 12 peaks for 2θ = 10–80°, in order of rising 2θ:
2θ (°)  I_rel  h k l
10.4  31  0 0 2
29.0  29  0 1 1
32.7  97  1 0 3
39.1  93  1 0 5
42.2  100  1 1 2
42.4  29  0 0 8
47.3  35  0 1 7
59.0  31  2 0 0
69.1  23  1 2 3
69.6  29  1 1 10
73.1  29  1 2 5
75.3  21  2 0 8

```
data_B4Mo3W
_chemical_formula_sum 'B8 Mo6 W2'
_cell_length_a 3.129
_cell_length_b 3.133
_cell_length_c 17.039
_cell_angle_alpha 90.00
_cell_angle_beta 90.00
_cell_angle_gamma 90.00
_space_group_name_H-M_alt 'I m m 2'
_space_group_IT_number 44
loop_
_space_group_symop_operation_xyz
'x,y,z'
'-x,-y,z'
'-x,y,z'
'x,-y,z'
'x+1/2,y+1/2,z+1/2'
'-x+1/2,-y+1/2,z+1/2'
'-x+1/2,y+1/2,z+1/2'
'x+1/2,-y+1/2,z+1/2'
loop_
_atom_site_label
_atom_site_type_symbol
_atom_site_fract_x
_atom_site_fract_y
_atom_site_fract_z
B1 B 0.000 0.000 0.000
B2 B 0.000 0.000 0.311
B3 B 0.000 0.500 0.061
B4 B 0.000 0.500 0.750
Mo1 Mo 0.000 0.000 0.459
Mo2 Mo 0.000 0.000 0.852
Mo3 Mo 0.000 0.500 0.603
W1 W 0.000 0.500 0.209
```

***

# 4
For YB7Mo3, a cell relaxed with PBE gives the simulated powder diffraction line list in this record (Cu Kα, 1.54184 Å).

Top 12 peaks for 2θ = 10–80°, in order of rising 2θ:
2θ (°)  I_rel  h k l
28.9  73  1 0 4
33.1  100  2 1 0
33.2  46  4 0 1
33.9  45  2 1 1
35.4  21  4 0 2
41.2  71  1 1 4
42.8  33  3 0 5
43.6  33  3 1 3
46.5  20  1 1 5
47.6  27  3 1 4
59.6  20  0 2 0
60.2  22  6 1 2

```
data_YB7Mo3
_chemical_formula_sum 'Y4 B28 Mo12'
_cell_length_a 11.039
_cell_length_b 3.104
_cell_length_c 12.889
_cell_angle_alpha 90.00
_cell_angle_beta 90.00
_cell_angle_gamma 90.00
_space_group_name_H-M_alt 'P n m a'
_space_group_IT_number 62
loop_
_space_group_symop_operation_xyz
'x,y,z'
'-x,-y,-z'
'-x+1/2,-y,z+1/2'
'x+1/2,y,-z+1/2'
'x+1/2,-y+1/2,-z+1/2'
'-x+1/2,y+1/2,z+1/2'
'-x,y+1/2,-z'
'x,-y+1/2,z'
loop_
_atom_site_label
_atom_site_type_symbol
_atom_site_fract_x
_atom_site_fract_y
_atom_site_fract_z
Y1 Y 0.051 0.250 0.192
B1 B 0.011 0.750 0.363
B2 B 0.037 0.750 0.018
B3 B 0.068 0.750 0.616
B4 B 0.166 0.750 0.333
B5 B 0.186 0.750 0.067
B6 B 0.230 0.750 0.582
B7 B 0.249 0.750 0.827
Mo1 Mo 0.118 0.250 0.473
Mo2 Mo 0.160 0.250 0.936
Mo3 Mo 0.184 0.250 0.702
```

***

# 5
For YB3Mo, a cell relaxed with PBE gives the simulated powder diffraction line list in this record (Cu Kα, 1.54184 Å).

Top 12 peaks for 2θ = 10–80°, in order of rising 2θ:
2θ (°)  I_rel  h k l
26.6  71  0 0 2
32.9  100  1 1 0
33.5  34  2 0 -1
33.7  23  2 0 0
37.0  19  1 1 1
38.6  23  2 0 -2
38.9  25  2 0 1
39.2  17  0 1 2
40.4  66  1 1 -2
45.1  41  1 1 2
58.7  27  3 1 -1
69.0  24  4 0 -1

```
data_YB3Mo
_chemical_formula_sum 'Y2 B6 Mo2'
_cell_length_a 5.444
_cell_length_b 3.166
_cell_length_c 6.846
_cell_angle_alpha 90.00
_cell_angle_beta 102.07
_cell_angle_gamma 90.00
_space_group_name_H-M_alt 'P 1 21/m 1'
_space_group_IT_number 11
loop_
_space_group_symop_operation_xyz
'x,y,z'
'-x,-y,-z'
'-x,y+1/2,-z'
'x,-y+1/2,z'
loop_
_atom_site_label
_atom_site_type_symbol
_atom_site_fract_x
_atom_site_fract_y
_atom_site_fract_z
Y1 Y 0.176 0.250 0.209
B1 B 0.084 0.750 0.494
B2 B 0.413 0.750 0.496
B3 B 0.419 0.750 0.975
Mo1 Mo 0.311 0.250 0.720
```

***

# 6
For Y2B6Mo, a cell relaxed with PBE gives the simulated powder diffraction line list in this record (Cu Kα, 1.54184 Å).

Top 12 peaks for 2θ = 10–80°, in order of rising 2θ:
2θ (°)  I_rel  h k l
24.4  99  0 0 1
29.8  40  3 1 0
30.0  34  2 3 0
30.6  23  0 4 0
32.2  34  1 4 0
32.7  27  3 2 0
38.9  100  3 1 1
39.5  34  0 4 1
40.8  48  1 4 1
41.2  39  3 2 1
44.9  24  3 3 1
50.0  28  0 0 2

```
data_Y2B6Mo
_chemical_formula_sum 'Y8 B24 Mo4'
_cell_length_a 9.291
_cell_length_b 11.669
_cell_length_c 3.651
_cell_angle_alpha 90.00
_cell_angle_beta 90.00
_cell_angle_gamma 90.00
_space_group_name_H-M_alt 'P b a m'
_space_group_IT_number 55
loop_
_space_group_symop_operation_xyz
'x,y,z'
'-x,-y,-z'
'-x,-y,z'
'x,y,-z'
'x+1/2,-y+1/2,-z'
'-x+1/2,y+1/2,z'
'-x+1/2,y+1/2,-z'
'x+1/2,-y+1/2,z'
loop_
_atom_site_label
_atom_site_type_symbol
_atom_site_fract_x
_atom_site_fract_y
_atom_site_fract_z
Y1 Y 0.057 0.129 0.000
Y2 Y 0.178 0.414 0.000
B1 B 0.020 0.288 0.500
B2 B 0.052 0.566 0.500
B3 B 0.101 0.972 0.500
B4 B 0.132 0.816 0.500
B5 B 0.206 0.236 0.500
B6 B 0.249 0.079 0.500
Mo1 Mo 0.139 0.680 0.000
```

***

# 7
For ZnBMo, a cell relaxed with PBE gives the simulated powder diffraction line list in this record (Cu Kα, 1.54184 Å).

Top 7 peaks for 2θ = 10–80°, in order of rising 2θ:
2θ (°)  I_rel  h k l
27.7  100  1 1 1
32.1  1  2 0 0
46.0  84  2 2 0
54.5  44  3 1 1
67.1  13  4 0 0
74.1  17  3 3 1
76.3  1  4 2 0

```
data_ZnBMo
_chemical_formula_sum 'Zn4 B4 Mo4'
_cell_length_a 5.579
_cell_length_b 5.579
_cell_length_c 5.579
_cell_angle_alpha 90.00
_cell_angle_beta 90.00
_cell_angle_gamma 90.00
_space_group_name_H-M_alt 'F -4 3 m'
_space_group_IT_number 216
_space_group_name_Hall 'F -4 2 3'
loop_
_atom_site_label
_atom_site_type_symbol
_atom_site_fract_x
_atom_site_fract_y
_atom_site_fract_z
Zn1 Zn 0.000 0.000 0.000
B1 B 0.000 0.000 0.500
Mo1 Mo 0.250 0.250 0.750
```

***

# 8
For ZnB4Mo, a cell relaxed with PBE gives the simulated powder diffraction line list in this record (Cu Kα, 1.54184 Å).

Top 12 peaks for 2θ = 10–80°, in order of rising 2θ:
2θ (°)  I_rel  h k l
26.1  36  0 0 2
34.3  24  0 2 0
34.4  45  1 1 0
43.7  100  1 1 2
53.8  10  0 0 4
61.5  13  1 3 0
61.8  6  2 0 0
65.4  21  0 2 4
68.0  10  1 3 2
72.6  5  2 2 0
78.4  6  0 4 2
78.7  11  2 2 2

```
data_ZnB4Mo
_chemical_formula_sum 'Zn2 B8 Mo2'
_cell_length_a 3.004
_cell_length_b 5.226
_cell_length_c 6.817
_cell_angle_alpha 90.00
_cell_angle_beta 90.00
_cell_angle_gamma 90.00
_space_group_name_H-M_alt 'I m m m'
_space_group_IT_number 71
_space_group_name_Hall '-I 2 2'
loop_
_atom_site_label
_atom_site_type_symbol
_atom_site_fract_x
_atom_site_fract_y
_atom_site_fract_z
Zn1 Zn 0.000 0.000 0.000
B1 B 0.000 0.337 0.252
Mo1 Mo 0.000 0.000 0.500
```

***

# 9
For Zr9BMo4, a cell relaxed with PBE gives the simulated powder diffraction line list in this record (Cu Kα, 1.54184 Å).

Top 12 peaks for 2θ = 10–80°, in order of rising 2θ:
2θ (°)  I_rel  h k l
11.8  21  1 0 0
31.7  34  2 0 2
33.5  29  1 0 3
36.0  20  3 0 0
37.5  74  3 0 1
38.1  100  2 1 2
39.6  38  2 0 3
41.8  19  2 2 0
42.1  14  0 0 4
63.1  27  3 2 3
64.7  18  3 3 0
66.1  49  3 0 5

```
data_Zr9BMo4
_chemical_formula_sum 'Zr18 B2 Mo8'
_cell_length_a 8.6415
_cell_length_b 8.6415
_cell_length_c 8.5914
_cell_angle_alpha 90.00
_cell_angle_beta 90.00
_cell_angle_gamma 120.00
_space_group_name_H-M_alt 'P 63/m m c'
_space_group_IT_number 194
_space_group_name_Hall '-P 6c 2c'
loop_
_atom_site_label
_atom_site_type_symbol
_atom_site_fract_x
_atom_site_fract_y
_atom_site_fract_z
Zr1 Zr 0.0788 0.5394 0.2500
Zr2 Zr 0.2035 0.4070 0.5558
B1 B 0.3333 0.6667 0.7500
Mo1 Mo 0.0000 0.0000 0.0000
Mo2 Mo 0.1100 0.2200 0.2500
```

***

# 10
For NbBNO, a cell relaxed with PBE gives the simulated powder diffraction line list in this record (Cu Kα, 1.54184 Å).

Top 12 peaks for 2θ = 10–80°, in order of rising 2θ:
2θ (°)  I_rel  h k l
12.6  100  1 0 0
30.2  53  1 1 1
36.9  53  0 0 2
37.6  84  2 1 1
38.4  15  3 0 0
39.2  14  1 0 2
41.1  26  0 2 0
43.2  17  1 2 0
47.8  39  3 1 1
56.4  19  0 2 2
58.1  13  1 2 2
67.0  16  2 1 3

```
data_NbBNO
_chemical_formula_sum 'Nb4 B4 N4 O4'
_cell_length_a 7.031
_cell_length_b 4.392
_cell_length_c 4.866
_cell_angle_alpha 90.00
_cell_angle_beta 90.00
_cell_angle_gamma 90.00
_space_group_name_H-M_alt 'P b c m'
_space_group_IT_number 57
loop_
_space_group_symop_operation_xyz
'x,y,z'
'-x,-y,-z'
'-x,-y,z+1/2'
'x,y,-z+1/2'
'x,-y+1/2,-z'
'-x,y+1/2,z'
'-x,y+1/2,-z+1/2'
'x,-y+1/2,z+1/2'
loop_
_atom_site_label
_atom_site_type_symbol
_atom_site_fract_x
_atom_site_fract_y
_atom_site_fract_z
Nb1 Nb 0.120 0.024 0.250
B1 B 0.396 0.053 0.750
N1 N 0.203 0.527 0.250
O1 O 0.439 0.129 0.250
```

***

# 11
For Nd4B2N, a cell relaxed with PBE gives the simulated powder diffraction line list in this record (Cu Kα, 1.54184 Å).

Top 12 peaks for 2θ = 10–80°, in order of rising 2θ:
2θ (°)  I_rel  h k l
23.8  32  1 0 0
29.4  100  1 0 2
34.4  16  0 0 4
41.9  31  1 1 0
42.2  15  0 1 4
52.0  21  0 2 2
55.3  24  1 1 4
58.5  12  1 0 6
68.9  18  2 1 2
74.6  6  0 2 6
76.6  5  3 0 0
76.8  5  1 2 4

```
data_Nd4B2N
_chemical_formula_sum 'Nd4 B2 N1'
_cell_length_a 4.3105
_cell_length_b 4.3105
_cell_length_c 10.4402
_cell_angle_alpha 90.00
_cell_angle_beta 90.00
_cell_angle_gamma 120.00
_space_group_name_H-M_alt 'P 3 m 1'
_space_group_IT_number 156
loop_
_space_group_symop_operation_xyz
'x,y,z'
'-y,x-y,z'
'-x+y,-x,z'
'-y,-x,z'
'-x+y,y,z'
'x,x-y,z'
loop_
_atom_site_label
_atom_site_type_symbol
_atom_site_fract_x
_atom_site_fract_y
_atom_site_fract_z
Nd1 Nd 0.0000 0.0000 0.0000
Nd2 Nd 0.0000 0.0000 0.4763
Nd3 Nd 0.3333 0.6667 0.2364
Nd4 Nd 0.3333 0.6667 0.7585
B1 B 0.3333 0.6667 0.5003
B2 B 0.6667 0.3333 0.8857
N1 N 0.0000 0.0000 0.2413
```

***

Copy entry 4 word for word.
For YB7Mo3, a cell relaxed with PBE gives the simulated powder diffraction line list in this record (Cu Kα, 1.54184 Å).

Top 12 peaks for 2θ = 10–80°, in order of rising 2θ:
2θ (°)  I_rel  h k l
28.9  73  1 0 4
33.1  100  2 1 0
33.2  46  4 0 1
33.9  45  2 1 1
35.4  21  4 0 2
41.2  71  1 1 4
42.8  33  3 0 5
43.6  33  3 1 3
46.5  20  1 1 5
47.6  27  3 1 4
59.6  20  0 2 0
60.2  22  6 1 2

```
data_YB7Mo3
_chemical_formula_sum 'Y4 B28 Mo12'
_cell_length_a 11.039
_cell_length_b 3.104
_cell_length_c 12.889
_cell_angle_alpha 90.00
_cell_angle_beta 90.00
_cell_angle_gamma 90.00
_space_group_name_H-M_alt 'P n m a'
_space_group_IT_number 62
loop_
_space_group_symop_operation_xyz
'x,y,z'
'-x,-y,-z'
'-x+1/2,-y,z+1/2'
'x+1/2,y,-z+1/2'
'x+1/2,-y+1/2,-z+1/2'
'-x+1/2,y+1/2,z+1/2'
'-x,y+1/2,-z'
'x,-y+1/2,z'
loop_
_atom_site_label
_atom_site_type_symbol
_atom_site_fract_x
_atom_site_fract_y
_atom_site_fract_z
Y1 Y 0.051 0.250 0.192
B1 B 0.011 0.750 0.363
B2 B 0.037 0.750 0.018
B3 B 0.068 0.750 0.616
B4 B 0.166 0.750 0.333
B5 B 0.186 0.750 0.067
B6 B 0.230 0.750 0.582
B7 B 0.249 0.750 0.827
Mo1 Mo 0.118 0.250 0.473
Mo2 Mo 0.160 0.250 0.936
Mo3 Mo 0.184 0.250 0.702
```